TbGd2SnPb6: simulated powder diffraction line list (Cu Kα, 1.54184 Å), based on DFT lattice parameters and positions (PBE).

Atomic structure:
```
data_TbGd2SnPb6
_chemical_formula_sum 'Tb1 Gd2 Sn1 Pb6'
_symmetry_space_group_name_H-M 'P 1'
_symmetry_Int_Tables_number 1
_symmetry_space_group_name_Hall 'P 1'
_cell_length_a 13.137
_cell_length_b 13.137
_cell_length_c 4.708
_cell_angle_alpha 90.00
_cell_angle_beta 90.00
_cell_angle_gamma 159.38
loop_
_atom_site_label
_atom_site_type_symbol
_atom_site_fract_x
_atom_site_fract_y
_atom_site_fract_z
Tb1 Tb 0.000 0.000 0.000
Gd1 Gd 0.189 0.811 0.000
Gd2 Gd 0.811 0.189 0.000
Sn1 Sn 0.500 0.500 0.500
Pb1 Pb 0.097 0.903 0.500
Pb2 Pb 0.294 0.706 0.500
Pb3 Pb 0.404 0.596 0.000
Pb4 Pb 0.596 0.404 0.000
Pb5 Pb 0.706 0.294 0.500
Pb6 Pb 0.903 0.097 0.500
```

Main lines, low angle first (2θ from 15° to 90°):
| 2θ (°) | I_rel |
| --- | --- |
| 31.99 | 100 |
| 34.70 | 18 |
| 38.26 | 32 |
| 52.60 | 23 |
| 60.51 | 13 |
| 65.26 | 27 |